No. 1
Te4MoW2Se2: simulated powder diffraction line list (Cu Ka), based on the GGA-PBE geometry in the Materials Project.

Structure:
abc: 3.4774 3.4774 32.0752
angles: 90.00 90.00 120.00
Space group P3m1 (No. 156)
Unique sites:
Te  0.0000  0.0000  0.0000 x1
Te  0.0000  0.0000  0.1147 x1
Te  0.0000  0.0000  0.4623 x1
Te  0.0000  0.0000  0.5777 x1
Mo  0.6667  0.3333  0.0573 x1
W  0.0000  0.0000  0.2887 x1
W  0.6667  0.3333  0.5200 x1
Se  0.6667  0.3333  0.2378 x1
Se  0.6667  0.3333  0.3395 x1

The 6 most intense peaks (15° ≤ 2θ ≤ 90°), in order of rising 2θ:
two_theta  I/Imax
29.66  62
34.17  80
35.68  100
41.11  42
43.19  79
52.66  56

=====

No. 2
K2Na2Nd4Nb2O13: simulated powder diffraction line list (Cu Ka), based on the GGA-PBE geometry in the Materials Project.

Structure:
abc: 24.627 5.784 11.446
angles: 90.00 116.59 90.00
Space group C2/c (No. 15)
Unique sites:
K  0.249  0.050  0.133 x8
Na  0.159  0.465  0.524 x8
Nd  0.063  0.463  0.673 x8
Nd  0.064  0.045  0.951 x8
Nb  0.152  0.032  0.284 x8
O  0.000  0.259  0.750 x4
O  0.001  0.252  0.477 x8
O  0.103  0.230  0.343 x8
O  0.131  0.192  0.640 x8
O  0.133  0.271  0.142 x8
O  0.136  0.225  0.877 x8
O  0.236  0.062  0.377 x8

The 6 most intense peaks (15° ≤ 2θ ≤ 90°), in order of rising 2θ:
two_theta  I/Imax
24.88  42
25.17  38
29.69  100
30.11  93
31.27  35
44.55  45

=====

No. 3
CaPBrO8: simulated powder diffraction line list (Cu Ka), based on the GGA-PBE geometry in the Materials Project.

Structure:
abc: 20.987 6.403 7.055
angles: 90.00 94.67 90.00
Space group C2/c (No. 15)
Unique sites:
Ca  0.000  0.152  0.250 x4
P  0.000  0.335  0.750 x4
Br  0.250  0.250  0.000 x4
O  0.003  0.188  0.923 x8
O  0.054  0.498  0.254 x8
O  0.144  0.153  0.341 x8
O  0.162  0.274  0.469 x8

The 6 most intense peaks (15° ≤ 2θ ≤ 90°), in order of rising 2θ:
two_theta  I/Imax
16.96  100
23.28  67
26.07  77
27.67  53
27.87  29
29.23  47

=====

No. 4
Tb11S16: simulated powder diffraction line list (Cu Ka), based on the GGA-PBE geometry in the Materials Project.

Structure:
abc: 8.369 16.803 8.312
angles: 90.00 90.00 90.00
Space group P2_12_12 (No. 18)
Unique sites:
Tb  0.000  0.000  0.129 x2
Tb  0.004  0.750  0.379 x4
Tb  0.124  0.622  0.767 x4
Tb  0.139  0.120  0.757 x4
Tb  0.244  0.439  0.481 x4
Tb  0.250  0.319  0.000 x4
S  0.062  0.090  0.437 x4
S  0.073  0.669  0.080 x4
S  0.074  0.158  0.076 x4
S  0.077  0.592  0.443 x4
S  0.171  0.961  0.833 x4
S  0.174  0.283  0.682 x4
S  0.184  0.462  0.804 x4
S  0.184  0.783  0.680 x4

The 6 most intense peaks (15° ≤ 2θ ≤ 90°), in order of rising 2θ:
two_theta  I/Imax
26.07  100
26.19  56
33.76  50
33.87  50
34.08  42
40.28  43

=====

No. 5
Mg16Al12Ni: simulated powder diffraction line list (Cu Ka), based on the GGA-PBE geometry in the Materials Project.

Structure:
abc: 14.6278 14.6278 9.2052
angles: 90.00 90.00 120.00
Space group R3m (No. 160, hexagonal axes)
Unique sites:
Mg  0.0000  0.0000  0.0000 x3
Mg  0.0397  0.3575  0.3753 x18
Mg  0.0902  0.1804  0.4945 x9
Mg  0.0985  0.5493  0.5608 x9
Mg  0.1979  0.3959  0.1307 x9
Al  0.1265  0.0633  0.7208 x9
Al  0.1543  0.4870  0.8626 x18
Al  0.2052  0.4104  0.6178 x9
Ni  0.0000  0.0000  0.2743 x3

The 6 most intense peaks (15° ≤ 2θ ≤ 90°), in order of rising 2θ:
two_theta  I/Imax
34.37  32
36.19  62
36.57  61
36.82  100
40.65  33
40.86  35

=====

No. 6
Ta2TcW: simulated powder diffraction line list (Cu Ka), based on the GGA-PBE geometry in the Materials Project.

Structure:
abc: 6.436 6.436 6.436
angles: 90.00 90.00 90.00
Space group Fm-3m (No. 225)
Unique sites:
Ta  0.250  0.250  0.250 x8
Tc  0.000  0.000  0.000 x4
W  0.000  0.000  0.500 x4

The 6 most intense peaks (15° ≤ 2θ ≤ 90°), in order of rising 2θ:
two_theta  I/Imax
23.95  4
39.61  100
46.81  2
57.25  17
71.86  35
85.31  11

=====

No. 7
KIO2: simulated powder diffraction line list (Cu Ka), based on the GGA-PBE geometry in the Materials Project.

Structure:
abc: 4.296 4.296 4.130
angles: 90.00 90.00 90.00
Space group P4/mmm (No. 123)
Unique sites:
K  0.000  0.000  0.000 x1
I  0.500  0.500  0.500 x1
O  0.000  0.500  0.500 x2

The 6 most intense peaks (15° ≤ 2θ ≤ 90°), in order of rising 2θ:
two_theta  I/Imax
20.68  32
21.52  30
29.41  33
30.02  100
42.07  27
52.54  39

=====

No. 8
Tb2Sb5: simulated powder diffraction line list (Cu Ka), based on the GGA-PBE geometry in the Materials Project.

Structure:
abc: 13.258 4.230 14.786
angles: 90.00 102.12 90.00
Space group P2_1/m (No. 11)
Unique sites:
Tb  0.048  0.250  0.361 x2
Tb  0.329  0.250  0.577 x2
Tb  0.339  0.250  0.855 x2
Tb  0.392  0.750  0.229 x2
Sb  0.028  0.250  0.095 x2
Sb  0.138  0.250  0.678 x2
Sb  0.140  0.750  0.220 x2
Sb  0.141  0.750  0.519 x2
Sb  0.153  0.750  0.827 x2
Sb  0.278  0.250  0.062 x2
Sb  0.285  0.250  0.348 x2
Sb  0.419  0.750  0.024 x2
Sb  0.425  0.750  0.449 x2
Sb  0.425  0.750  0.734 x2

The 6 most intense peaks (15° ≤ 2θ ≤ 90°), in order of rising 2θ:
two_theta  I/Imax
29.54  71
29.85  86
34.41  88
34.88  100
35.82  91
42.76  66